Theoretical XRD peak list
Compound: IrBr6
Radiation: Cu Kα, 1.54184 Å
Structure: the PBE geometry in Alexandria
Lines closer than 0.1° are merged.

The 10 most intense peaks (2θ = 15–90°), low angle first:
Position (°2θ)	d (Å)	Rel. int.
15.10	5.868	72
15.74	5.629	91
17.46	5.080	100
27.75	3.215	42
28.60	3.121	40
31.04	2.881	84
35.90	2.502	66
45.31	2.002	43
48.73	1.869	25
53.12	1.724	25

Structure:
abc: 11.280 11.737 6.495
angles: 90.00 90.00 90.00
Element x y z (fractional)
1 Ir 0.106 0.250 0.031
2 Ir 0.394 0.750 0.531
3 Ir 0.606 0.250 0.469
4 Ir 0.894 0.750 0.969
5 Br 0.005 0.250 0.367
6 Br 0.040 0.606 0.099
7 Br 0.040 0.894 0.099
8 Br 0.206 0.250 0.691
9 Br 0.242 0.099 0.145
10 Br 0.242 0.401 0.145
11 Br 0.258 0.599 0.645
12 Br 0.258 0.901 0.645
13 Br 0.294 0.750 0.191
14 Br 0.460 0.106 0.599
15 Br 0.460 0.394 0.599
16 Br 0.495 0.750 0.867
17 Br 0.505 0.250 0.133
18 Br 0.540 0.606 0.401
19 Br 0.540 0.894 0.401
20 Br 0.706 0.250 0.809
21 Br 0.742 0.099 0.355
22 Br 0.742 0.401 0.355
23 Br 0.758 0.599 0.855
24 Br 0.758 0.901 0.855
25 Br 0.794 0.750 0.309
26 Br 0.960 0.106 0.901
27 Br 0.960 0.394 0.901
28 Br 0.995 0.750 0.633

=====

Theoretical XRD peak list
Compound: Mg2V3WS8
Radiation: Cu Kα, 1.54184 Å
Structure: the PBE geometry in Alexandria
Lines closer than 0.1° are merged.

The 10 most intense peaks (2θ = 15–90°), low angle first:
Position (°2θ)	d (Å)	Rel. int.
17.30	5.126	32
24.25	3.670	31
28.82	3.098	77
29.35	3.043	39
35.01	2.563	100
45.60	1.989	23
45.96	1.975	34
49.68	1.835	48
51.02	1.790	44
62.22	1.492	16

Structure:
abc: 7.165 7.165 7.165
angles: 61.63 61.63 61.63
Element x y z (fractional)
1 Mg 0.126 0.126 0.126
2 Mg 0.874 0.874 0.874
3 V 0.000 0.500 0.500
4 V 0.500 0.000 0.500
5 V 0.500 0.500 0.000
6 W 0.500 0.500 0.500
7 S 0.259 0.259 0.720
8 S 0.259 0.720 0.259
9 S 0.263 0.263 0.263
10 S 0.280 0.741 0.741
11 S 0.720 0.259 0.259
12 S 0.737 0.737 0.737
13 S 0.741 0.280 0.741
14 S 0.741 0.741 0.280

=====

Theoretical XRD peak list
Compound: TbYEr2Tm2
Radiation: Cu Kα, 1.54184 Å
Structure: the PBE geometry in Alexandria
Lines closer than 0.1° are merged.

The 10 most intense peaks (2θ = 15–90°), low angle first:
Position (°2θ)	d (Å)	Rel. int.
25.78	3.455	17
28.16	3.169	39
30.72	2.910	100
33.81	2.651	36
34.38	2.608	47
37.09	2.424	57
40.53	2.226	19
55.10	1.667	30
62.52	1.486	26
64.35	1.448	26

Structure:
abc: 6.911 15.907 3.482
angles: 90.00 90.00 90.00
Element x y z (fractional)
1 Tb 0.000 0.000 0.000
2 Tb 0.500 0.500 0.500
3 Y 0.000 0.500 0.500
4 Y 0.500 0.000 0.000
5 Er 0.250 0.157 0.500
6 Er 0.250 0.657 0.000
7 Er 0.750 0.343 0.000
8 Er 0.750 0.843 0.500
9 Tm 0.249 0.844 0.500
10 Tm 0.251 0.344 0.000
11 Tm 0.749 0.656 0.000
12 Tm 0.751 0.156 0.500

=====

Theoretical XRD peak list
Compound: La2Si4Os3
Radiation: Cu Kα, 1.54184 Å
Structure: the PBE geometry in Alexandria
Lines closer than 0.1° are merged.

The 10 most intense peaks (2θ = 15–90°), low angle first:
Position (°2θ)	d (Å)	Rel. int.
28.71	3.109	87
34.81	2.577	31
35.99	2.496	60
36.54	2.459	100
38.59	2.333	80
39.07	2.305	41
39.59	2.276	86
43.96	2.060	30
59.46	1.554	30
73.83	1.283	28

Structure:
abc: 7.819 6.649 5.736
angles: 77.92 56.25 45.83
Element x y z (fractional)
1 La 0.134 0.134 0.866
2 La 0.866 0.866 0.134
3 Si 0.166 0.529 0.471
4 Si 0.471 0.834 0.166
5 Si 0.529 0.166 0.834
6 Si 0.834 0.471 0.529
7 Os 0.000 0.000 0.500
8 Os 0.500 0.500 0.000
9 Os 0.500 0.500 0.500

=====

Theoretical XRD peak list
Compound: Li5Nb2Cu3O10
Radiation: Cu Kα, 1.54184 Å
Structure: the PBE geometry in Alexandria
Lines closer than 0.1° are merged.

The 10 most intense peaks (2θ = 15–90°), low angle first:
Position (°2θ)	d (Å)	Rel. int.
17.74	4.999	100
18.72	4.740	41
19.99	4.441	29
23.25	3.825	36
30.59	2.922	39
35.15	2.553	78
35.46	2.532	21
36.07	2.490	36
44.18	2.050	56
45.09	2.011	44

Structure:
abc: 5.285 5.863 7.687
angles: 99.69 105.95 107.19
Element x y z (fractional)
1 Li 0.000 0.000 0.000
2 Li 0.094 0.157 0.691
3 Li 0.277 0.642 0.131
4 Li 0.723 0.358 0.869
5 Li 0.906 0.843 0.309
6 Nb 0.390 0.771 0.799
7 Nb 0.610 0.229 0.201
8 Cu 0.201 0.384 0.405
9 Cu 0.500 0.000 0.500
10 Cu 0.799 0.616 0.595
11 O 0.040 0.634 0.848
12 O 0.169 0.855 0.568
13 O 0.282 0.978 0.251
14 O 0.366 0.157 0.947
15 O 0.421 0.467 0.678
16 O 0.579 0.533 0.322
17 O 0.634 0.843 0.053
18 O 0.718 0.022 0.749
19 O 0.831 0.145 0.432
20 O 0.960 0.366 0.152

=====

Theoretical XRD peak list
Compound: Lu11Te4
Radiation: Cu Kα, 1.54184 Å
Structure: the PBE geometry in Alexandria
Lines closer than 0.1° are merged.

The 10 most intense peaks (2θ = 15–90°), low angle first:
Position (°2θ)	d (Å)	Rel. int.
30.53	2.928	44
31.01	2.884	100
31.85	2.809	87
32.61	2.746	100
33.35	2.687	83
33.94	2.641	58
34.15	2.625	88
35.19	2.550	53
35.53	2.527	68
46.11	1.969	83

Structure:
abc: 15.453 15.453 21.308
angles: 102.64 102.64 14.64
Element x y z (fractional)
1 Lu 0.000 0.000 0.000
2 Lu 0.032 0.032 0.445
3 Lu 0.033 0.033 0.835
4 Lu 0.127 0.127 0.093
5 Lu 0.130 0.130 0.369
6 Lu 0.151 0.151 0.904
7 Lu 0.173 0.173 0.566
8 Lu 0.204 0.204 0.782
9 Lu 0.242 0.242 0.344
10 Lu 0.255 0.255 0.073
11 Lu 0.286 0.286 0.545
12 Lu 0.341 0.341 0.745
13 Lu 0.394 0.394 0.221
14 Lu 0.425 0.425 0.037
15 Lu 0.438 0.438 0.414
16 Lu 0.457 0.457 0.882
17 Lu 0.465 0.465 0.693
18 Lu 0.535 0.535 0.307
19 Lu 0.543 0.543 0.118
20 Lu 0.562 0.562 0.586
21 Lu 0.575 0.575 0.963
22 Lu 0.606 0.606 0.779
23 Lu 0.659 0.659 0.255
24 Lu 0.714 0.714 0.455
25 Lu 0.745 0.745 0.927
26 Lu 0.758 0.758 0.656
27 Lu 0.796 0.796 0.218
28 Lu 0.827 0.827 0.434
29 Lu 0.849 0.849 0.096
30 Lu 0.870 0.870 0.631
31 Lu 0.873 0.873 0.907
32 Lu 0.967 0.967 0.165
33 Lu 0.968 0.968 0.555
34 Te 0.042 0.042 0.690
35 Te 0.080 0.080 0.225
36 Te 0.216 0.216 0.194
37 Te 0.322 0.322 0.980
38 Te 0.342 0.342 0.328
39 Te 0.387 0.387 0.526
40 Te 0.613 0.613 0.474
41 Te 0.658 0.658 0.672
42 Te 0.678 0.678 0.020
43 Te 0.784 0.784 0.806
44 Te 0.920 0.920 0.775
45 Te 0.958 0.958 0.310

=====

Theoretical XRD peak list
Compound: Ti3CdC
Radiation: Cu Kα, 1.54184 Å
Structure: the PBE geometry in Alexandria
Lines closer than 0.1° are merged.

The 10 most intense peaks (2θ = 15–90°), low angle first:
Position (°2θ)	d (Å)	Rel. int.
21.94	4.051	26
35.34	2.540	36
36.09	2.489	51
37.64	2.390	54
37.99	2.369	100
39.79	2.265	41
49.70	1.834	17
59.16	1.562	20
65.68	1.422	13
72.27	1.307	12

Structure:
abc: 5.949 5.949 9.366
angles: 104.17 104.17 29.60
Element x y z (fractional)
1 Ti 0.038 0.038 0.380
2 Ti 0.291 0.291 0.387
3 Ti 0.408 0.408 0.851
4 Ti 0.592 0.592 0.149
5 Ti 0.709 0.709 0.613
6 Ti 0.962 0.962 0.620
7 Cd 0.151 0.151 0.888
8 Cd 0.849 0.849 0.112
9 C 0.338 0.338 0.624
10 C 0.662 0.662 0.376